(1)
Starting from a crystal structure in OQMD, relaxed with GGA-PBE, the powder diffraction line list of HoInFeTe3 was simulated for copper Kα.

Principal peaks in the range 2θ from 10° to 90°, in order of rising 2θ:
2θ = 25.3°, I 50
2θ = 26.3°, I 77
2θ = 28.0°, I 55
2θ = 29.1°, I 61
2θ = 30.0°, I 86
2θ = 30.8°, I 100
2θ = 31.5°, I 80
2θ = 33.1°, I 87
2θ = 36.0°, I 70
2θ = 36.3°, I 100
2θ = 42.8°, I 86
2θ = 43.9°, I 48

Structure:
a = 12.7373 Å, b = 4.2288 Å, c = 12.5723 Å
α = 90.00°, β = 90.00°, γ = 90.00°
Atoms (fractional coordinates):
Ho 0.0195 0.2500 0.1877
Ho 0.4805 0.7500 0.6877
Ho 0.5195 0.2500 0.3123
Ho 0.9805 0.7500 0.8123
In 0.1895 0.2500 0.4913
In 0.3105 0.7500 0.9913
In 0.6895 0.2500 0.0087
In 0.8105 0.7500 0.5087
Fe 0.2236 0.7500 0.3349
Fe 0.2764 0.2500 0.8349
Fe 0.7236 0.7500 0.1651
Fe 0.7764 0.2500 0.6651
Te 0.0195 0.7500 0.3632
Te 0.1022 0.2500 0.9454
Te 0.2369 0.7500 0.7100
Te 0.2631 0.2500 0.2100
Te 0.3978 0.7500 0.4454
Te 0.4805 0.2500 0.8632
Te 0.5195 0.7500 0.1368
Te 0.6022 0.2500 0.5546
Te 0.7369 0.7500 0.7900
Te 0.7631 0.2500 0.2900
Te 0.8978 0.7500 0.0546
Te 0.9805 0.2500 0.6368

=====

(2)
Starting from a crystal structure in OQMD, relaxed with GGA-PBE, the powder diffraction line list of Cs2KRb2ReO6 was simulated for copper Kα.

Principal peaks in the range 2θ from 10° to 90°, in order of rising 2θ:
2θ = 16.5°, I 46
2θ = 21.1°, I 27
2θ = 28.2°, I 100
2θ = 29.4°, I 44
2θ = 29.5°, I 43
2θ = 32.7°, I 49
2θ = 33.7°, I 91
2θ = 47.6°, I 30
2θ = 47.8°, I 29
2θ = 55.7°, I 17
2θ = 56.3°, I 42
2θ = 58.3°, I 29

Structure:
a = 6.6818 Å, b = 6.6818 Å, c = 6.5898 Å
α = 100.89°, β = 100.89°, γ = 121.13°
Atoms (fractional coordinates):
Cs 0.1716 0.8284 0.0000
Cs 0.8284 0.1716 0.0000
K 0.5000 0.5000 0.0000
Rb 0.3333 0.6667 0.5000
Rb 0.6667 0.3333 0.5000
Re 0.0000 0.0000 0.5000
O 0.0728 0.3057 0.6865
O 0.1736 0.1736 0.3223
O 0.3057 0.0728 0.6865
O 0.6943 0.9272 0.3135
O 0.8264 0.8264 0.6777
O 0.9272 0.6943 0.3135

=====

(3)
Starting from a crystal structure in OQMD, relaxed with GGA-PBE, the powder diffraction line list of BaNb8O14 was simulated for copper Kα.

Principal peaks in the range 2θ from 10° to 90°, in order of rising 2θ:
2θ = 25.6°, I 95
2θ = 29.8°, I 47
2θ = 31.5°, I 88
2θ = 32.3°, I 36
2θ = 32.6°, I 64
2θ = 33.5°, I 34
2θ = 36.0°, I 64
2θ = 39.8°, I 32
2θ = 45.5°, I 100
2θ = 52.7°, I 53
2θ = 61.0°, I 30
2θ = 62.2°, I 48

Structure:
a = 9.3808 Å, b = 10.3226 Å, c = 5.9795 Å
α = 90.00°, β = 90.00°, γ = 90.00°
Atoms (fractional coordinates):
Ba 0.0000 0.0000 0.0000
Ba 0.5000 0.5000 0.0000
Nb 0.1168 0.1644 0.5000
Nb 0.1199 0.6641 0.0000
Nb 0.1247 0.4231 0.2325
Nb 0.1247 0.4231 0.7675
Nb 0.3753 0.9231 0.2325
Nb 0.3753 0.9231 0.7675
Nb 0.3801 0.1641 0.0000
Nb 0.3832 0.6644 0.5000
Nb 0.6168 0.3356 0.5000
Nb 0.6199 0.8359 0.0000
Nb 0.6247 0.0769 0.2325
Nb 0.6247 0.0769 0.7675
Nb 0.8753 0.5769 0.2325
Nb 0.8753 0.5769 0.7675
Nb 0.8801 0.3359 0.0000
Nb 0.8832 0.8356 0.5000
O 0.0000 0.0000 0.5000
O 0.0000 0.5000 0.5000
O 0.0039 0.2466 0.2471
O 0.0039 0.2466 0.7529
O 0.2365 0.3218 0.5000
O 0.2422 0.0866 0.2486
O 0.2422 0.0866 0.7514
O 0.2419 0.8436 0.0000
O 0.2581 0.3436 0.0000
O 0.2578 0.5866 0.2486
O 0.2578 0.5866 0.7514
O 0.2635 0.8218 0.5000
O 0.4961 0.7466 0.2471
O 0.4961 0.7466 0.7529
O 0.5000 0.0000 0.5000
O 0.5000 0.5000 0.5000
O 0.5039 0.2534 0.2471
O 0.5039 0.2534 0.7529
O 0.7365 0.1782 0.5000
O 0.7422 0.4134 0.2486
O 0.7422 0.4134 0.7514
O 0.7419 0.6564 0.0000
O 0.7581 0.1564 0.0000
O 0.7578 0.9134 0.2486
O 0.7578 0.9134 0.7514
O 0.7635 0.6782 0.5000
O 0.9961 0.7534 0.2471
O 0.9961 0.7534 0.7529

=====

(4)
Starting from a crystal structure in OQMD, relaxed with GGA-PBE, the powder diffraction line list of DyScTa2Ge2 was simulated for copper Kα.

Principal peaks in the range 2θ from 10° to 90°, in order of rising 2θ:
2θ = 11.5°, I 74
2θ = 32.4°, I 17
2θ = 33.9°, I 100
2θ = 35.1°, I 29
2θ = 39.7°, I 86
2θ = 42.0°, I 15
2θ = 45.5°, I 46
2θ = 58.2°, I 13
2θ = 58.8°, I 26
2θ = 66.3°, I 15
2θ = 76.6°, I 19
2θ = 80.2°, I 22

Structure:
a = 3.9851 Å, b = 3.9851 Å, c = 7.6695 Å
α = 90.00°, β = 90.00°, γ = 90.00°
Atoms (fractional coordinates):
Dy 0.0000 0.0000 0.0000
Sc 0.5000 0.5000 0.2965
Ta 0.0000 0.5000 0.6399
Ta 0.5000 0.0000 0.6399
Ge 0.0000 0.0000 0.3882
Ge 0.5000 0.5000 0.8934

=====

(5)
Starting from a crystal structure in OQMD, relaxed with GGA-PBE, the powder diffraction line list of Tb2CSeS was simulated for copper Kα.

Principal peaks in the range 2θ from 10° to 90°, in order of rising 2θ:
2θ = 18.3°, I 17
2θ = 26.8°, I 29
2θ = 28.4°, I 26
2θ = 32.7°, I 100
2θ = 38.9°, I 12
2θ = 46.4°, I 28
2θ = 47.3°, I 28
2θ = 54.9°, I 9
2θ = 58.7°, I 18
2θ = 61.6°, I 9
2θ = 78.6°, I 16
2θ = 87.4°, I 9

Structure:
a = 3.8421 Å, b = 3.8421 Å, c = 9.6809 Å
α = 90.00°, β = 90.00°, γ = 120.00°
Atoms (fractional coordinates):
Tb 0.0000 0.0000 0.0000
Tb 0.3333 0.6667 0.3042
C 0.6667 0.3333 0.1398
Se 0.3333 0.6667 0.8211
S 0.0000 0.0000 0.4510

=====

(6)
Starting from a crystal structure in OQMD, relaxed with GGA-PBE, the powder diffraction line list of Tb3YPb2C2 was simulated for copper Kα.

Principal peaks in the range 2θ from 10° to 90°, in order of rising 2θ:
2θ = 28.2°, I 23
2θ = 32.8°, I 100
2θ = 33.1°, I 21
2θ = 44.1°, I 16
2θ = 50.0°, I 21
2θ = 59.0°, I 19
2θ = 61.1°, I 17
2θ = 61.3°, I 22
2θ = 68.8°, I 4
2θ = 80.9°, I 8
2θ = 82.7°, I 15
2θ = 89.7°, I 5

Structure:
a = 3.6515 Å, b = 3.6515 Å, c = 16.2148 Å
α = 90.00°, β = 90.00°, γ = 120.00°
Atoms (fractional coordinates):
Tb 0.0000 0.0000 0.0000
Tb 0.0000 0.0000 0.3345
Tb 0.3333 0.6667 0.5002
Y 0.3333 0.6667 0.8345
Pb 0.0000 0.0000 0.6675
Pb 0.3333 0.6667 0.1674
C 0.6667 0.3333 0.4174
C 0.6667 0.3333 0.9174

=====

(7)
Starting from a crystal structure in OQMD, relaxed with GGA-PBE, the powder diffraction line list of TaOF2 was simulated for copper Kα.

Principal peaks in the range 2θ from 10° to 90°, in order of rising 2θ:
2θ = 12.4°, I 41
2θ = 25.0°, I 16
2θ = 27.9°, I 100
2θ = 34.2°, I 19
2θ = 35.6°, I 41
2θ = 37.9°, I 12
2θ = 51.0°, I 11
2θ = 52.0°, I 13
2θ = 53.8°, I 10
2θ = 57.5°, I 16
2θ = 57.8°, I 18
2θ = 65.3°, I 17

Structure:
a = 4.8975 Å, b = 7.1252 Å, c = 5.2433 Å
α = 90.00°, β = 90.00°, γ = 90.00°
Atoms (fractional coordinates):
Ta 0.0305 0.1752 0.0000
Ta 0.4695 0.1752 0.5000
Ta 0.5305 0.8248 0.0000
Ta 0.9695 0.8248 0.5000
O 0.1037 0.0633 0.3403
O 0.3963 0.0633 0.8403
O 0.6037 0.9367 0.3403
O 0.8963 0.9367 0.8403
F 0.1980 0.7251 0.1882
F 0.2184 0.4036 0.9518
F 0.2816 0.4036 0.4518
F 0.3020 0.7251 0.6882
F 0.6980 0.2749 0.1882
F 0.7184 0.5964 0.9518
F 0.7816 0.5964 0.4518
F 0.8020 0.2749 0.6882

=====

(8)
Starting from a crystal structure in OQMD, relaxed with GGA-PBE, the powder diffraction line list of Al6Re7 was simulated for copper Kα.

Principal peaks in the range 2θ from 10° to 90°, in order of rising 2θ:
2θ = 20.3°, I 31
2θ = 26.8°, I 15
2θ = 36.3°, I 100
2θ = 40.3°, I 28
2θ = 41.9°, I 56
2θ = 43.4°, I 47
2θ = 57.8°, I 13
2θ = 65.2°, I 20
2θ = 67.9°, I 12
2θ = 69.1°, I 13
2θ = 70.2°, I 23
2θ = 77.0°, I 16

Structure:
a = 9.2073 Å, b = 9.2073 Å, c = 9.2073 Å
α = 31.22°, β = 31.22°, γ = 31.22°
Atoms (fractional coordinates):
Al 0.0893 0.0893 0.5864
Al 0.0893 0.5864 0.0893
Al 0.4136 0.9107 0.9107
Al 0.5864 0.0893 0.0893
Al 0.9107 0.4136 0.9107
Al 0.9107 0.9107 0.4136
Re 0.0000 0.0000 0.0000
Re 0.1670 0.1670 0.1670
Re 0.3537 0.3537 0.3537
Re 0.4530 0.4530 0.4530
Re 0.5470 0.5470 0.5470
Re 0.6463 0.6463 0.6463
Re 0.8330 0.8330 0.8330

=====

(9)
Starting from a crystal structure in OQMD, relaxed with GGA-PBE, the powder diffraction line list of Cs2Ag2O5 was simulated for copper Kα.

Principal peaks in the range 2θ from 10° to 90°, in order of rising 2θ:
2θ = 28.8°, I 100
2θ = 31.1°, I 37
2θ = 37.5°, I 15
2θ = 44.5°, I 23
2θ = 49.5°, I 16
2θ = 53.9°, I 34
2θ = 59.6°, I 14
2θ = 64.8°, I 7
2θ = 72.4°, I 7
2θ = 77.3°, I 6
2θ = 85.7°, I 7
2θ = 89.2°, I 8

Structure:
a = 4.0681 Å, b = 4.0681 Å, c = 9.5986 Å
α = 90.00°, β = 90.00°, γ = 90.00°
Atoms (fractional coordinates):
Cs 0.0000 0.0000 0.0000
Cs 0.0000 0.0000 0.5000
Ag 0.5000 0.5000 0.2203
Ag 0.5000 0.5000 0.7797
O 0.0000 0.5000 0.2649
O 0.0000 0.5000 0.7351
O 0.5000 0.0000 0.2649
O 0.5000 0.0000 0.7351
O 0.5000 0.5000 0.0000

=====

(10)
Starting from a crystal structure in OQMD, relaxed with GGA-PBE, the powder diffraction line list of LiNb3Si5 was simulated for copper Kα.

Principal peaks in the range 2θ from 10° to 90°, in order of rising 2θ:
2θ = 13.8°, I 100
2θ = 18.3°, I 34
2θ = 27.8°, I 17
2θ = 34.9°, I 13
2θ = 37.0°, I 27
2θ = 39.7°, I 70
2θ = 42.3°, I 15
2θ = 46.9°, I 49
2θ = 57.4°, I 17
2θ = 66.7°, I 12
2θ = 70.4°, I 12
2θ = 82.2°, I 13

Structure:
a = 5.6083 Å, b = 5.6083 Å, c = 6.4147 Å
α = 90.00°, β = 90.00°, γ = 120.00°
Atoms (fractional coordinates):
Li 0.0000 0.0000 0.0000
Nb 0.0000 0.5000 0.5000
Nb 0.5000 0.0000 0.5000
Nb 0.5000 0.5000 0.5000
Si 0.0000 0.0000 0.5000
Si 0.3333 0.6667 0.1793
Si 0.3333 0.6667 0.8207
Si 0.6667 0.3333 0.1793
Si 0.6667 0.3333 0.8207

=====

(11)
Starting from a crystal structure in OQMD, relaxed with GGA-PBE, the powder diffraction line list of La2Pr2Se3O4 was simulated for copper Kα.

Principal peaks in the range 2θ from 10° to 90°, in order of rising 2θ:
2θ = 25.0°, I 53
2θ = 30.0°, I 100
2θ = 31.2°, I 53
2θ = 34.6°, I 37
2θ = 39.4°, I 11
2θ = 41.4°, I 14
2θ = 44.5°, I 20
2θ = 46.4°, I 23
2θ = 51.8°, I 15
2θ = 53.0°, I 16
2θ = 57.6°, I 17
2θ = 58.5°, I 14

Structure:
a = 8.4893 Å, b = 6.8585 Å, c = 6.8585 Å
α = 34.50°, β = 90.00°, γ = 90.00°
Atoms (fractional coordinates):
La 0.0000 0.0000 0.0000
La 0.5000 0.0169 0.0169
Pr 0.2370 0.6852 0.6852
Pr 0.7630 0.6852 0.6852
Se 0.0000 0.3104 0.3104
Se 0.3506 0.3548 0.3548
Se 0.6494 0.3548 0.3548
O 0.0000 0.5874 0.5874
O 0.2442 0.0891 0.0891
O 0.5000 0.6158 0.6158
O 0.7558 0.0891 0.0891

=====

(12)
Starting from a crystal structure in OQMD, relaxed with GGA-PBE, the powder diffraction line list of Dy2Er3Lu3 was simulated for copper Kα.

Principal peaks in the range 2θ from 10° to 90°, in order of rising 2θ:
2θ = 29.0°, I 24
2θ = 32.4°, I 24
2θ = 33.3°, I 100
2θ = 44.0°, I 16
2θ = 51.5°, I 20
2θ = 58.4°, I 20
2θ = 62.1°, I 22
2θ = 62.7°, I 16
2θ = 70.0°, I 4
2θ = 81.5°, I 8
2θ = 85.3°, I 14
2θ = 90.0°, I 9

Structure:
a = 7.1023 Å, b = 7.1023 Å, c = 5.5281 Å
α = 90.00°, β = 90.00°, γ = 120.00°
Atoms (fractional coordinates):
Dy 0.0000 0.0000 0.0000
Dy 0.3333 0.6667 0.5000
Er 0.5004 0.0008 0.0000
Er 0.5004 0.4996 0.0000
Er 0.9992 0.4996 0.0000
Lu 0.3343 0.1672 0.5000
Lu 0.8328 0.1672 0.5000
Lu 0.8328 0.6657 0.5000